Entry 1:
Computed X-ray powder pattern
Compound: Na2B3C
Radiation: Cu Kα (weighted mean of Kα1 and Kα2)
Structure: DFT lattice parameters and positions (PBE)
No peak broadening, texture or thermal motion is included.

Largest 8 diffraction maxima, low angle first, 15° ≤ 2θ ≤ 90°:
2θ = 35.77°, I 18
2θ = 40.96°, I 51
2θ = 41.70°, I 100
2θ = 42.18°, I 37
2θ = 63.19°, I 18
2θ = 76.78°, I 13
2θ = 78.92°, I 17
2θ = 79.59°, I 11

Crystal structure
```
Na2B3C
1.0
8.570 0.000 0.000
0.000 1.439 12.843
0.000 -1.439 12.843
Na B C
10 15 5
direct
0.246 0.000 0.000
0.246 0.200 0.200
0.248 0.401 0.401
0.249 0.801 0.801
0.250 0.600 0.600
0.750 0.600 0.600
0.751 0.801 0.801
0.752 0.401 0.401
0.754 0.000 0.000
0.754 0.200 0.200
0.000 0.064 0.064
0.000 0.274 0.274
0.000 0.467 0.467
0.000 0.661 0.661
0.000 0.734 0.734
0.000 0.870 0.870
0.500 0.066 0.066
0.500 0.131 0.131
0.500 0.267 0.267
0.500 0.336 0.336
0.500 0.526 0.526
0.500 0.670 0.670
0.500 0.736 0.736
0.500 0.869 0.869
0.500 0.937 0.937
0.000 0.129 0.129
0.000 0.338 0.338
0.000 0.532 0.532
0.000 0.935 0.935
0.500 0.466 0.466
```

Entry 2:
Computed X-ray powder pattern
Compound: BaFe2RuN
Radiation: Cu Kα (weighted mean of Kα1 and Kα2)
Structure: DFT lattice parameters and positions (PBE)
No peak broadening, texture or thermal motion is included.

Largest 8 diffraction maxima, low angle first, 15° ≤ 2θ ≤ 90°:
2θ = 17.55°, I 100
2θ = 24.91°, I 16
2θ = 35.50°, I 40
2θ = 35.63°, I 20
2θ = 39.87°, I 29
2θ = 39.98°, I 21
2θ = 51.15°, I 41
2θ = 54.50°, I 25

Crystal structure
```
BaFe2RuN
1.0
5.057 0.000 0.000
0.000 5.057 0.000
0.000 0.000 5.039
Ba Fe Ru N
1 2 1 1
direct
0.000 0.000 0.000
0.000 0.500 0.000
0.500 0.000 0.000
0.000 0.000 0.500
0.500 0.500 0.500
```